No. 1
Starting from the GGA-PBE geometry in Alexandria, the X-ray powder pattern of SnHg2S2Br2 was calculated for Cu Ka.
Lines closer than 0.1° are merged.

Cell and atoms:
```
data_SnHg2S2Br2
_cell_length_a 9.823
_cell_length_b 8.165
_cell_length_c 12.845
_cell_angle_alpha 90.00
_cell_angle_beta 122.58
_cell_angle_gamma 90.00
_space_group_name_H-M_alt 'P 1'
_space_group_IT_number 1
_space_group_name_Hall 'P 1'
loop_
_atom_site_label
_atom_site_type_symbol
_atom_site_fract_x
_atom_site_fract_y
_atom_site_fract_z
Sn1 Sn 0.138 0.087 0.424
Sn2 Sn 0.138 0.413 0.924
Sn3 Sn 0.862 0.587 0.076
Sn4 Sn 0.862 0.913 0.576
Hg1 Hg 0.254 0.543 0.624
Hg2 Hg 0.254 0.957 0.124
Hg3 Hg 0.415 0.690 0.378
Hg4 Hg 0.415 0.810 0.878
Hg5 Hg 0.585 0.190 0.122
Hg6 Hg 0.585 0.310 0.622
Hg7 Hg 0.746 0.043 0.876
Hg8 Hg 0.746 0.457 0.376
S1 S 0.164 0.674 0.742
S2 S 0.164 0.826 0.242
S3 S 0.314 0.089 0.986
S4 S 0.314 0.411 0.486
S5 S 0.686 0.589 0.514
S6 S 0.686 0.911 0.014
S7 S 0.836 0.174 0.758
S8 S 0.836 0.326 0.258
Br1 Br 0.082 0.185 0.612
Br2 Br 0.082 0.315 0.112
Br3 Br 0.413 0.588 0.108
Br4 Br 0.413 0.912 0.608
Br5 Br 0.587 0.088 0.392
Br6 Br 0.587 0.412 0.892
Br7 Br 0.918 0.685 0.888
Br8 Br 0.918 0.815 0.388
```

Most intense lines, 2θ from 10° to 90°, by angle:
2θ/deg	I_rel
19.9	88
24.1	100
24.9	87
27.5	76
28.9	65
30.1	81
30.3	64
30.8	62
33.1	90
37.0	78

=====

No. 2
Starting from the GGA-PBE geometry in Alexandria, the X-ray powder pattern of Pr4TcPt was calculated for Cu Ka.
Lines closer than 0.1° are merged.

Cell and atoms:
```
data_Pr4TcPt
_cell_length_a 6.594
_cell_length_b 7.889
_cell_length_c 8.187
_cell_angle_alpha 114.13
_cell_angle_beta 108.48
_cell_angle_gamma 100.17
_space_group_name_H-M_alt 'P 1'
_space_group_IT_number 1
_space_group_name_Hall 'P 1'
loop_
_atom_site_label
_atom_site_type_symbol
_atom_site_fract_x
_atom_site_fract_y
_atom_site_fract_z
Pr1 Pr 0.010 0.234 0.366
Pr2 Pr 0.207 0.299 0.849
Pr3 Pr 0.357 0.633 0.367
Pr4 Pr 0.358 0.951 0.151
Pr5 Pr 0.642 0.049 0.849
Pr6 Pr 0.643 0.367 0.633
Pr7 Pr 0.793 0.701 0.151
Pr8 Pr 0.990 0.766 0.634
Tc1 Tc 0.253 0.003 0.507
Tc2 Tc 0.747 0.997 0.493
Pt1 Pt 0.385 0.635 0.770
Pt2 Pt 0.615 0.365 0.230
```

Most intense lines, 2θ from 10° to 90°, by angle:
2θ/deg	I_rel
15.2	40
28.7	40
29.6	100
31.2	82
33.0	41
34.4	59
35.3	38
37.5	69
37.6	42
40.2	54

=====

No. 3
Starting from the GGA-PBE geometry in Alexandria, the X-ray powder pattern of Ac2PaAs3Ir4 was calculated for Cu Ka.
Lines closer than 0.1° are merged.

Cell and atoms:
```
data_Ac2PaAs3Ir4
_cell_length_a 4.299
_cell_length_b 4.299
_cell_length_c 11.400
_cell_angle_alpha 90.00
_cell_angle_beta 90.00
_cell_angle_gamma 90.00
_space_group_name_H-M_alt 'P 1'
_space_group_IT_number 1
_space_group_name_Hall 'P 1'
loop_
_atom_site_label
_atom_site_type_symbol
_atom_site_fract_x
_atom_site_fract_y
_atom_site_fract_z
Ac1 Ac 0.000 0.500 0.230
Ac2 Ac 0.500 0.000 0.770
Pa1 Pa 0.000 0.000 0.500
As1 As 0.000 0.500 0.874
As2 As 0.500 0.000 0.126
As3 As 0.500 0.500 0.500
Ir1 Ir 0.000 0.000 0.000
Ir2 Ir 0.000 0.500 0.651
Ir3 Ir 0.500 0.000 0.349
Ir4 Ir 0.500 0.500 0.000
```

Most intense lines, 2θ from 10° to 90°, by angle:
2θ/deg	I_rel
26.0	15
31.4	39
33.4	100
42.0	49
43.5	18
45.0	22
53.4	22
61.0	16
63.3	16
71.3	23

=====

No. 4
Starting from the GGA-PBE geometry in Alexandria, the X-ray powder pattern of RbLiGa2I4 was calculated for Cu Ka.
Lines closer than 0.1° are merged.

Cell and atoms:
```
data_RbLiGa2I4
_cell_length_a 9.610
_cell_length_b 9.610
_cell_length_c 9.610
_cell_angle_alpha 119.92
_cell_angle_beta 119.70
_cell_angle_gamma 90.33
_space_group_name_H-M_alt 'P 1'
_space_group_IT_number 1
_space_group_name_Hall 'P 1'
loop_
_atom_site_label
_atom_site_type_symbol
_atom_site_fract_x
_atom_site_fract_y
_atom_site_fract_z
Rb1 Rb 0.500 0.000 0.000
Rb2 Rb 0.500 0.500 0.500
Li1 Li 0.000 0.000 0.000
Li2 Li 0.500 0.000 0.500
Ga1 Ga 0.000 0.000 0.500
Ga2 Ga 0.000 0.500 0.000
Ga3 Ga 0.000 0.500 0.500
Ga4 Ga 0.500 0.500 0.000
I1 I 0.198 0.216 0.981
I2 I 0.240 0.246 0.505
I3 I 0.240 0.735 0.995
I4 I 0.265 0.784 0.481
I5 I 0.735 0.216 0.519
I6 I 0.760 0.265 0.005
I7 I 0.760 0.754 0.495
I8 I 0.802 0.784 0.019
```

Most intense lines, 2θ from 10° to 90°, by angle:
2θ/deg	I_rel
21.7	15
22.6	30
26.2	100
26.3	39
28.6	14
37.3	18
37.4	79
46.2	15
46.3	16
60.9	22

=====

What did the fourth record say?
Starting from the GGA-PBE geometry in Alexandria, the X-ray powder pattern of RbLiGa2I4 was calculated for Cu Ka.
Lines closer than 0.1° are merged.

Cell and atoms:
```
data_RbLiGa2I4
_cell_length_a 9.610
_cell_length_b 9.610
_cell_length_c 9.610
_cell_angle_alpha 119.92
_cell_angle_beta 119.70
_cell_angle_gamma 90.33
_space_group_name_H-M_alt 'P 1'
_space_group_IT_number 1
_space_group_name_Hall 'P 1'
loop_
_atom_site_label
_atom_site_type_symbol
_atom_site_fract_x
_atom_site_fract_y
_atom_site_fract_z
Rb1 Rb 0.500 0.000 0.000
Rb2 Rb 0.500 0.500 0.500
Li1 Li 0.000 0.000 0.000
Li2 Li 0.500 0.000 0.500
Ga1 Ga 0.000 0.000 0.500
Ga2 Ga 0.000 0.500 0.000
Ga3 Ga 0.000 0.500 0.500
Ga4 Ga 0.500 0.500 0.000
I1 I 0.198 0.216 0.981
I2 I 0.240 0.246 0.505
I3 I 0.240 0.735 0.995
I4 I 0.265 0.784 0.481
I5 I 0.735 0.216 0.519
I6 I 0.760 0.265 0.005
I7 I 0.760 0.754 0.495
I8 I 0.802 0.784 0.019
```

Most intense lines, 2θ from 10° to 90°, by angle:
2θ/deg	I_rel
21.7	15
22.6	30
26.2	100
26.3	39
28.6	14
37.3	18
37.4	79
46.2	15
46.3	16
60.9	22